The following is a simulated powder diffraction line list of UMoO5. It was derived from DFT lattice parameters and positions (GGA+U), using copper Kα.
Kinematic intensities with the Lorentz-polarization factor, no thermal factor.

Main lines, low angle first (2θ from 5° to 70°):
two_theta	intensity
13.61	30
21.45	91
25.50	27
27.42	44
27.54	100
35.14	85
48.55	19
52.41	31
53.65	18
53.86	17

```
data_UMoO5
_space_group_name_H-M_alt 'P c c a'
_space_group_IT_number 54
_cell_length_a 7.4685
_cell_length_b 4.1431
_cell_length_c 13.0119
_cell_angle_alpha 90.00
_cell_angle_beta 90.00
_cell_angle_gamma 90.00
loop_
_space_group_symop_operation_xyz
'x,y,z'
'-x,-y,-z'
'-x+1/2,-y,z'
'x+1/2,y,-z'
'x+1/2,-y,-z+1/2'
'-x+1/2,y,z+1/2'
'-x,y,-z+1/2'
'x,-y,z+1/2'
loop_
_atom_site_label
_atom_site_type_symbol
_atom_site_fract_x
_atom_site_fract_y
_atom_site_fract_z
_atom_site_occupancy
U1 U 0.2500 0.0000 0.0205 1
Mo1 Mo 0.0000 0.0967 0.2500 1
O1 O 0.0000 0.4824 0.7500 1
O2 O 0.0440 0.0125 0.4017 1
O3 O 0.2500 0.0000 0.2035 1
O4 O 0.2500 0.5000 0.0238 1
```